Theoretical powder diffractogram of Na8Fe7P8O32 for Cu Kα (weighted mean of Kα1 and Kα2), from a crystal structure in the Materials Project, relaxed with GGA+U.
Neutral-atom scattering factors, no anomalous dispersion.

Main lines, in order of rising 2θ (5° ≤ 2θ ≤ 70°):
28.22 deg, d = 3.162 Å, I = 58.2, hkl 0 4 0; 31.18 deg, d = 2.869 Å, I = 49.3, hkl 2 0 2; 31.43 deg, d = 2.846 Å, I = 47.5, hkl 2 0 -4; 34.32 deg, d = 2.613 Å, I = 51.3, hkl 2 2 2; 34.54 deg, d = 2.597 Å, I = 100.0, hkl 2 4 0; 34.60 deg, d = 2.592 Å, I = 53.3, hkl 2 4 -2

Structural model:
Lattice parameters (Å, degrees): 10.0898 12.6526 11.5226 90.00 115.48 90.00
Space group Cm (No. 8)
Inequivalent atoms, fractional coordinates:
Na1 0.0000 0.1196 0.0000 x4
Na2 0.0066 0.3741 0.4971 x4
Na3 0.0126 0.3788 0.9969 x4
Na4 0.4949 0.3769 0.4788 x4
Fe1 0.1353 0.2501 0.7781 x4
Fe2 0.1525 0.2499 0.2808 x4
Fe3 0.3533 0.5000 0.7069 x2
Fe4 0.3537 0.0000 0.7075 x2
Fe5 0.3648 0.0000 0.2113 x2
P1 0.1663 0.5000 0.8809 x2
P2 0.1678 0.0000 0.8857 x2
P3 0.2216 0.5000 0.3857 x2
P4 0.2354 0.0000 0.3942 x2
P5 0.2761 0.2486 0.5999 x4
P6 0.3466 0.2436 0.1064 x4
O1 0.0672 0.4018 0.8087 x4
O2 0.0681 0.5000 0.3846 x2
O3 0.0696 0.0984 0.8178 x4
O4 0.0889 0.0000 0.3971 x2
O5 0.1565 0.2476 0.4549 x4
O6 0.1865 0.0000 0.0273 x2
O7 0.1894 0.5000 0.0197 x2
O8 0.2016 0.2505 0.1225 x4
O9 0.2414 0.3449 0.6666 x4
O10 0.2444 0.1508 0.6666 x4
O11 0.2441 0.3968 0.3208 x4
O12 0.2613 0.1000 0.3204 x4
O13 0.3148 0.5000 0.8699 x2
O14 0.3168 0.0000 0.8790 x2
O15 0.3167 0.2497 0.9636 x4
O16 0.3464 0.5000 0.5260 x2
O17 0.3664 0.0000 0.5305 x2
O18 0.4295 0.2516 0.6027 x4
O19 0.4370 0.1408 0.1672 x4
O20 0.4649 0.3286 0.1836 x4



Theoretical powder diffractogram of MnFeO4 for Cu Kα (weighted mean of Kα1 and Kα2), from a crystal structure in the Materials Project, relaxed with GGA+U.
Neutral-atom scattering factors, no anomalous dispersion.

Main lines, in order of rising 2θ (5° ≤ 2θ ≤ 70°):
18.58 deg, d = 4.775 Å, I = 59.8, hkl 0 1 1; 30.85 deg, d = 2.898 Å, I = 59.3, hkl 1 1 2; 30.99 deg, d = 2.885 Å, I = 58.3, hkl 2 0 0; 35.95 deg, d = 2.498 Å, I = 100.0, hkl 1 2 1; 36.56 deg, d = 2.458 Å, I = 49.4, hkl 1 0 3; 64.28 deg, d = 1.449 Å, I = 48.6, hkl 2 2 4

Structural model:
Lattice parameters (Å, degrees): 5.7706 5.8932 8.1488 90.00 90.00 90.00
Space group Imma (No. 74)
Inequivalent atoms, fractional coordinates:
Mn1 0.0000 0.0000 0.0000 x4
Fe1 0.0000 0.2500 0.3711 x4
O1 0.0000 0.0044 0.2332 x8
O2 0.2222 0.2500 0.0005 x8